No. 1
For Cd3InAu3, a DFT-relaxed cell (PBE, Alexandria) gives the theoretical powder diffractogram in this record (Cu Kα (weighted mean of Kα1 and Kα2)).

Structural model:
a b c (Å): 5.839 5.839 5.839
angles (deg): 109.56 109.56 109.56
Element x y z (fractional)
Cd 0.000 0.500 0.500
Cd 0.500 0.000 0.500
Cd 0.500 0.500 0.000
In 0.001 0.001 0.001
Au 0.000 0.000 0.500
Au 0.000 0.500 0.000
Au 0.500 0.000 0.000

Principal peaks in the range 10 to 90 degrees two-theta, sorted by position:
d_spacing, I_rel
4.762, 40
2.752, 16
2.385, 100
2.377, 99
2.130, 10
1.684, 34
1.376, 52
1.371, 17
1.193, 11
1.189, 11

No. 2
For KCdInAu, a DFT-relaxed cell (PBE, Alexandria) gives the theoretical powder diffractogram in this record (Cu Kα (weighted mean of Kα1 and Kα2)).

Structural model:
a b c (Å): 6.790 6.790 6.790
angles (deg): 41.89 41.89 41.89
Element x y z (fractional)
K 0.000 0.000 0.000
Cd 0.532 0.532 0.532
In 0.802 0.802 0.802
Au 0.188 0.188 0.188

Principal peaks in the range 10 to 90 degrees two-theta, sorted by position:
d_spacing, I_rel
6.185, 100
3.829, 17
3.115, 13
3.092, 15
2.782, 41
2.427, 58
2.260, 50
2.031, 15
1.909, 22
1.829, 12

No. 3
For KCd2InAu, a DFT-relaxed cell (PBE, Alexandria) gives the theoretical powder diffractogram in this record (Cu Kα (weighted mean of Kα1 and Kα2)).

Structural model:
a b c (Å): 7.048 7.048 7.048
angles (deg): 140.96 139.72 57.34
Element x y z (fractional)
K 0.000 0.000 0.000
Cd 0.612 0.612 0.000
Cd 0.763 0.263 0.500
In 0.260 0.760 0.500
Au 0.387 0.387 0.000

Principal peaks in the range 10 to 90 degrees two-theta, sorted by position:
d_spacing, I_rel
6.184, 40
4.518, 49
4.402, 48
3.102, 25
2.966, 92
2.427, 43
2.355, 39
2.282, 100
2.203, 28
1.690, 28

No. 4
For Li3Cd2In2Au4, a DFT-relaxed cell (PBE, Alexandria) gives the theoretical powder diffractogram in this record (Cu Kα (weighted mean of Kα1 and Kα2)).

Structural model:
a b c (Å): 4.658 4.658 11.423
angles (deg): 90.00 90.00 120.00
Element x y z (fractional)
Li 0.000 0.000 0.000
Li 0.000 0.000 0.269
Li 0.000 0.000 0.731
Cd 0.333 0.667 0.577
Cd 0.667 0.333 0.423
In 0.333 0.667 0.088
In 0.667 0.333 0.912
Au 0.333 0.667 0.331
Au 0.333 0.667 0.833
Au 0.667 0.333 0.167
Au 0.667 0.333 0.669

Principal peaks in the range 10 to 90 degrees two-theta, sorted by position:
d_spacing, I_rel
4.034, 43
3.295, 9
2.856, 5
2.330, 100
2.017, 7
1.805, 9
1.648, 19
1.345, 36
1.217, 5
1.165, 11

No. 5
For Li5Cd2InAu2, a DFT-relaxed cell (PBE, Alexandria) gives the theoretical powder diffractogram in this record (Cu Kα (weighted mean of Kα1 and Kα2)).

Structural model:
a b c (Å): 9.738 9.738 3.980
angles (deg): 90.00 90.00 90.00
Element x y z (fractional)
Li 0.000 0.500 0.000
Li 0.079 0.203 0.000
Li 0.203 0.921 0.000
Li 0.297 0.421 0.000
Li 0.421 0.703 0.000
Li 0.500 0.000 0.000
Li 0.579 0.297 0.000
Li 0.703 0.579 0.000
Li 0.797 0.079 0.000
Li 0.921 0.797 0.000
Cd 0.170 0.670 0.500
Cd 0.330 0.170 0.500
Cd 0.670 0.830 0.500
Cd 0.830 0.330 0.500
In 0.000 0.000 0.500
In 0.500 0.500 0.500
Au 0.127 0.373 0.500
Au 0.373 0.873 0.500
Au 0.627 0.127 0.500
Au 0.873 0.627 0.500

Principal peaks in the range 10 to 90 degrees two-theta, sorted by position:
d_spacing, I_rel
6.886, 22
3.980, 100
3.080, 72
2.701, 21
2.436, 100
2.235, 30
2.077, 20
1.990, 30
1.722, 23
1.672, 24

No. 6
For Mg2Cd2InAu5, a DFT-relaxed cell (PBE, Alexandria) gives the theoretical powder diffractogram in this record (Cu Kα (weighted mean of Kα1 and Kα2)).

Structural model:
a b c (Å): 11.175 11.175 3.323
angles (deg): 90.00 90.00 90.00
Element x y z (fractional)
Mg 0.143 0.357 0.000
Mg 0.357 0.857 0.000
Mg 0.643 0.143 0.000
Mg 0.857 0.643 0.000
Cd 0.146 0.646 0.000
Cd 0.354 0.146 0.000
Cd 0.646 0.854 0.000
Cd 0.854 0.354 0.000
In 0.000 0.000 0.000
In 0.500 0.500 0.000
Au 0.000 0.500 0.500
Au 0.141 0.156 0.500
Au 0.156 0.859 0.500
Au 0.344 0.359 0.500
Au 0.359 0.656 0.500
Au 0.500 0.000 0.500
Au 0.641 0.344 0.500
Au 0.656 0.641 0.500
Au 0.844 0.141 0.500
Au 0.859 0.844 0.500

Principal peaks in the range 10 to 90 degrees two-theta, sorted by position:
d_spacing, I_rel
3.951, 16
3.534, 21
3.323, 12
2.794, 15
2.499, 21
2.421, 100
2.064, 14
1.975, 18
1.862, 17
1.342, 29

Please write out number 2 again, unchanged.
For KCdInAu, a DFT-relaxed cell (PBE, Alexandria) gives the theoretical powder diffractogram in this record (Cu Kα (weighted mean of Kα1 and Kα2)).

Structural model:
a b c (Å): 6.790 6.790 6.790
angles (deg): 41.89 41.89 41.89
Element x y z (fractional)
K 0.000 0.000 0.000
Cd 0.532 0.532 0.532
In 0.802 0.802 0.802
Au 0.188 0.188 0.188

Principal peaks in the range 10 to 90 degrees two-theta, sorted by position:
d_spacing, I_rel
6.185, 100
3.829, 17
3.115, 13
3.092, 15
2.782, 41
2.427, 58
2.260, 50
2.031, 15
1.909, 22
1.829, 12